No. 1
Structure and computed powder X-ray diffraction pattern of PmAl2Ga4 (a DFT-relaxed cell (GGA-PBE, Alexandria); copper Kα).
Lines closer than 0.1° are merged.

Cell and atoms:
a = 3.987 Å, b = 3.987 Å, c = 9.728 Å
α = 90.00°, β = 90.00°, γ = 90.00°
Space group P-42m (No. 111)
Inequivalent atoms, fractional coordinates:
Pm1 0.000 0.000 0.000 [1 per cell]
Al1 0.000 0.500 0.500 [2 per cell]
Ga1 0.255 0.255 0.265 [4 per cell]

Principal peaks in the range 10° ≤ 2θ ≤ 90°, low angle first:
- (1 0 0), 2θ 22.30, d 3.987, rel. 20
- (1 0 1), 2θ 24.13, d 3.689, rel. 39
- (1 0 2), 2θ 28.96, d 3.083, rel. 27
- (1 1 1), 2θ 33.08, d 2.708, rel. 100
- (0 0 4), 2θ 36.96, d 2.432, rel. 33
- (1 1 3), 2θ 42.49, d 2.128, rel. 47
- (2 0 2), 2θ 49.42, d 1.844, rel. 66
- (1 1 5), 2θ 57.56, d 1.601, rel. 17
- (3 1 1), 2θ 76.14, d 1.250, rel. 17
- (2 2 4), 2θ 78.41, d 1.220, rel. 16

No. 2
Structure and computed powder X-ray diffraction pattern of Pu3ZnRu (a DFT-relaxed cell (GGA-PBE, Alexandria); copper Kα).
Lines closer than 0.1° are merged.

Cell and atoms:
a = 4.794 Å, b = 5.607 Å, c = 7.921 Å
α = 88.10°, β = 77.58°, γ = 66.17°
Space group P1 (No. 1)
Inequivalent atoms, fractional coordinates:
Pu1 0.000 0.000 0.000 [1 per cell]
Pu2 0.002 0.828 0.296 [1 per cell]
Pu3 0.277 0.560 0.855 [1 per cell]
Pu4 0.298 0.250 0.242 [1 per cell]
Pu5 0.470 0.102 0.931 [1 per cell]
Pu6 0.988 0.459 0.652 [1 per cell]
Zn1 0.400 0.882 0.568 [1 per cell]
Zn2 0.683 0.592 0.095 [1 per cell]
Ru1 0.627 0.419 0.409 [1 per cell]
Ru2 0.807 0.045 0.631 [1 per cell]

Principal peaks in the range 10° ≤ 2θ ≤ 90°, low angle first:
- (0 0 1), 2θ 11.46, d 7.721, rel. 28
- (0 1 1), 2θ 21.40, d 4.152, rel. 32
- (1 -1 1), 2θ 32.32, d 2.770, rel. 31
- (1 1 -2), 2θ 33.95, d 2.641, rel. 39
- (0 0 3), 2θ 34.86, d 2.574, rel. 31
- (0 2 -1), 2θ 36.30, d 2.475, rel. 100
- (1 0 3), 2θ 36.56, d 2.458, rel. 48
- (2 1 1), 2θ 37.70, d 2.386, rel. 93
- (1 2 2), 2θ 38.79, d 2.322, rel. 36
- (2 -1 2), 2θ 53.32, d 1.718, rel. 39